Record 1
Starting from a cell relaxed with GGA-PBE, the powder diffraction line list of Sc2SbBr2 was calculated for Cu Kα (weighted mean of Kα1 and Kα2).
Neutral-atom scattering factors, no anomalous dispersion.

Atomic structure:
```
data_Sc2SbBr2
_symmetry_space_group_name_H-M 'R -3 m'
_symmetry_Int_Tables_number 166
_symmetry_space_group_name_Hall '-R 3 2"'
_cell_length_a 4.0022
_cell_length_b 4.0022
_cell_length_c 31.1223
_cell_angle_alpha 90.00
_cell_angle_beta 90.00
_cell_angle_gamma 120.00
loop_
_atom_site_label
_atom_site_fract_x
_atom_site_fract_y
_atom_site_fract_z
_atom_site_occupancy
Sc1 0.0000 0.0000 0.1124 1
Sb1 0.0000 0.0000 0.5000 1
Br1 0.0000 0.0000 0.2734 1
```

The 8 most intense peaks (10° ≤ 2θ ≤ 80°), by angle:
h k l	two_theta	d [Å]	I_rel
0 0 9	25.76	3.458	17
1 0 4	28.19	3.166	33
0 1 5	29.50	3.028	100
0 1 8	34.66	2.588	43
1 1 0	45.32	2.001	42
1 0 13	46.08	1.970	37
0 0 18	52.89	1.731	23
1 1 18	72.19	1.309	22

=====

Record 2
Starting from a cell relaxed with GGA-PBE, the powder diffraction line list of Sc2SbBr was calculated for Cu Kα (weighted mean of Kα1 and Kα2).
Neutral-atom scattering factors, no anomalous dispersion.

Atomic structure:
```
data_Sc2SbBr
_symmetry_space_group_name_H-M 'A m m 2'
_symmetry_Int_Tables_number 38
_cell_length_a 3.8667
_cell_length_b 4.0032
_cell_length_c 13.5614
_cell_angle_alpha 90.00
_cell_angle_beta 90.00
_cell_angle_gamma 90.00
loop_
_symmetry_equiv_pos_as_xyz
'x,y,z'
'-x,-y,z'
'-x,y,z'
'x,-y,z'
'x,y+1/2,z+1/2'
'-x,-y+1/2,z+1/2'
'-x,y+1/2,z+1/2'
'x,-y+1/2,z+1/2'
loop_
_atom_site_label
_atom_site_fract_x
_atom_site_fract_y
_atom_site_fract_z
_atom_site_occupancy
Sc1 0.0000 0.0000 0.0000 1
Sc2 0.5000 0.0000 0.2066 1
Sb1 0.0000 0.0000 0.6548 1
Br1 0.5000 0.0000 0.4105 1
```

The 8 most intense peaks (10° ≤ 2θ ≤ 80°), by angle:
h k l	two_theta	d [Å]	I_rel
0 0 2	13.06	6.781	25
0 0 4	26.29	3.390	50
1 0 2	26.54	3.359	65
0 1 3	29.81	2.997	36
1 1 1	32.87	2.724	100
1 1 3	37.99	2.369	75
0 1 5	40.16	2.245	36
1 0 6	46.54	1.951	34

=====

Record 3
Starting from a cell relaxed with GGA-PBE, the powder diffraction line list of SnSbBr5 was calculated for Cu Kα (weighted mean of Kα1 and Kα2).
Neutral-atom scattering factors, no anomalous dispersion.

Atomic structure:
```
data_SnSbBr5
_symmetry_space_group_name_H-M 'P 1 21/c 1'
_symmetry_Int_Tables_number 14
_cell_length_a 7.2153
_cell_length_b 13.5172
_cell_length_c 12.7408
_cell_angle_alpha 90.00
_cell_angle_beta 117.20
_cell_angle_gamma 90.00
loop_
_symmetry_equiv_pos_as_xyz
'x,y,z'
'-x,-y,-z'
'-x,y+1/2,-z+1/2'
'x,-y+1/2,z+1/2'
loop_
_atom_site_label
_atom_site_fract_x
_atom_site_fract_y
_atom_site_fract_z
_atom_site_occupancy
Sn1 0.2095 0.1550 0.1724 1
Sb1 0.2792 0.0358 0.8063 1
Br1 0.1546 0.0034 0.3122 1
Br2 0.2256 0.2233 0.8725 1
Br3 0.2754 0.5399 0.5455 1
Br4 0.2768 0.1153 0.6194 1
Br5 0.3658 0.6516 0.2165 1
```

The 8 most intense peaks (10° ≤ 2θ ≤ 80°), by angle:
h k l	two_theta	d [Å]	I_rel
1 1 0	15.28	5.797	100
0 0 2	15.64	5.666	63
1 2 -3	24.95	3.568	44
2 0 0	27.80	3.209	80
1 4 -2	30.69	2.913	64
1 2 -4	31.05	2.880	53
0 5 2	36.81	2.442	35
3 3 -3	42.87	2.109	37